The following is a simulated powder XRD pattern of K2Pb3O8. It was derived from the PBE geometry in Alexandria, using Cu Kα, 1.54184 Å.

Most intense lines, 10 to 80 degrees two-theta, low angle first:
| two_theta | I_rel |
| --- | --- |
| 13.8 | 100.0 |
| 15.1 | 18.9 |
| 23.8 | 17.0 |
| 27.8 | 19.4 |
| 30.1 | 16.8 |
| 31.6 | 25.2 |
| 32.2 | 48.2 |
| 37.0 | 12.9 |
| 38.4 | 25.2 |
| 39.7 | 14.2 |
| 46.5 | 17.7 |
| 48.5 | 15.4 |

Cell and atoms:
```
K2Pb3O8
1.0
6.8695 -3.2865 0.0000
6.8695 3.2865 0.0000
-2.1329 0.0000 5.5567
K Pb O
2 3 8
Direct
0.2230 0.2230 0.1911
0.7770 0.7770 0.8088
0.2452 0.7548 0.5000
0.5000 0.5000 0.0000
0.7548 0.2452 0.5000
0.0913 0.0913 0.4332
0.1993 0.5927 0.1108
0.4073 0.8007 0.8892
0.4111 0.4111 0.6006
0.5889 0.5889 0.3994
0.5927 0.1993 0.1108
0.8007 0.4073 0.8892
0.9087 0.9087 0.5668
```

---

The following is a simulated powder XRD pattern of Nd3Sb5Rh6. It was derived from the PBE geometry in Alexandria, using Cu Kα, 1.54184 Å.

Most intense lines, 10 to 80 degrees two-theta, low angle first:
| two_theta | I_rel |
| --- | --- |
| 28.7 | 11.3 |
| 33.1 | 22.3 |
| 33.5 | 33.0 |
| 33.8 | 100.0 |
| 40.5 | 23.1 |
| 40.6 | 11.4 |
| 41.7 | 36.0 |
| 46.1 | 11.7 |
| 49.1 | 11.5 |
| 54.2 | 10.9 |
| 59.5 | 14.7 |
| 71.0 | 13.8 |

Cell and atoms:
```
Nd3Sb5Rh6
1.0
4.3357 0.0000 0.0000
0.0000 13.3748 0.0000
0.0000 0.0000 10.1949
Nd Sb Rh
6 10 12
Direct
0.2500 0.0807 0.2485
0.2500 0.4193 0.2485
0.2500 0.7500 0.2503
0.7500 0.2500 0.7497
0.7500 0.5807 0.7515
0.7500 0.9193 0.7515
0.2500 0.0823 0.8522
0.2500 0.4177 0.8522
0.2500 0.6295 0.5240
0.2500 0.7500 0.8491
0.2500 0.8705 0.5240
0.7500 0.1295 0.4760
0.7500 0.2500 0.1509
0.7500 0.3705 0.4760
0.7500 0.5823 0.1478
0.7500 0.9177 0.1478
0.2500 0.0574 0.5978
0.2500 0.2500 0.4911
0.2500 0.2500 0.9959
0.2500 0.4426 0.5978
0.2500 0.5833 0.0024
0.2500 0.9167 0.0024
0.7500 0.0833 0.9976
0.7500 0.4167 0.9976
0.7500 0.5574 0.4022
0.7500 0.7500 0.0041
0.7500 0.7500 0.5089
0.7500 0.9426 0.4022
```

---

The following is a simulated powder XRD pattern of Pm11Cd9Pt4. It was derived from the PBE geometry in Alexandria, using Cu Kα, 1.54184 Å.

Most intense lines, 10 to 80 degrees two-theta, low angle first:
| two_theta | I_rel |
| --- | --- |
| 31.0 | 9.8 |
| 32.2 | 12.0 |
| 33.8 | 100.0 |
| 34.0 | 41.0 |
| 36.0 | 21.6 |
| 36.6 | 9.9 |
| 37.1 | 8.7 |
| 37.6 | 7.2 |
| 48.4 | 14.8 |
| 55.1 | 6.2 |
| 60.5 | 15.3 |
| 62.1 | 8.4 |

Cell and atoms:
```
Pm11Cd9Pt4
1.0
7.4488 -11.2108 0.0000
7.4488 11.2108 0.0000
0.0000 0.0000 3.7616
Pm Cd Pt
11 9 4
Direct
0.0000 0.0000 0.0000
0.0739 0.4141 0.0000
0.1630 0.8370 0.0000
0.3051 0.3051 0.0000
0.3722 0.6278 0.0000
0.4141 0.0739 0.0000
0.5859 0.9261 0.0000
0.6278 0.3722 0.0000
0.6948 0.6948 0.0000
0.8370 0.1630 0.0000
0.9261 0.5859 0.0000
0.0714 0.2138 0.5000
0.1582 0.6345 0.5000
0.2138 0.0714 0.5000
0.3655 0.8418 0.5000
0.5000 0.5000 0.5000
0.6345 0.1582 0.5000
0.7862 0.9286 0.5000
0.8418 0.3655 0.5000
0.9286 0.7862 0.5000
0.2491 0.4492 0.5000
0.4492 0.2491 0.5000
0.5508 0.7509 0.5000
0.7509 0.5508 0.5000
```

---

The following is a simulated powder XRD pattern of YErHg4. It was derived from the PBE geometry in Alexandria, using Cu Kα, 1.54184 Å.

Most intense lines, 10 to 80 degrees two-theta, low angle first:
| two_theta | I_rel |
| --- | --- |
| 29.5 | 13.8 |
| 34.3 | 100.0 |
| 34.4 | 28.7 |
| 36.5 | 13.2 |
| 40.5 | 17.8 |
| 47.4 | 11.8 |
| 51.1 | 9.9 |
| 59.9 | 11.8 |
| 61.5 | 9.2 |
| 61.6 | 18.8 |
| 64.1 | 9.3 |
| 72.4 | 11.3 |

Cell and atoms:
```
YErHg4
1.0
14.7681 0.0000 0.0000
0.0000 3.8338 0.0000
-0.0064 0.0000 5.2083
Y Er Hg
2 2 8
Direct
0.0000 0.0000 0.0000
0.5000 0.5000 0.0000
0.2092 0.0000 0.5001
0.7092 0.5000 0.5001
0.0417 0.5000 0.4999
0.1692 0.5000 0.0000
0.3333 0.0000 0.0002
0.3741 0.5000 0.5000
0.5417 0.0000 0.4999
0.6692 0.0000 0.0000
0.8333 0.5000 0.0002
0.8741 0.0000 0.5000
```

---

The following is a simulated powder XRD pattern of CaPr3Nd7. It was derived from the PBE geometry in Alexandria, using Cu Kα, 1.54184 Å.

Most intense lines, 10 to 80 degrees two-theta, low angle first:
| two_theta | I_rel |
| --- | --- |
| 14.0 | 5.1 |
| 17.1 | 12.6 |
| 24.3 | 10.2 |
| 29.9 | 100.0 |
| 30.0 | 32.6 |
| 34.7 | 67.5 |
| 49.8 | 23.9 |
| 49.9 | 23.6 |
| 59.2 | 42.5 |
| 59.4 | 14.1 |
| 62.1 | 12.4 |
| 73.2 | 7.5 |

Cell and atoms:
```
CaPr3Nd7
1.0
7.3269 0.0000 0.0000
-3.6634 6.3453 0.0000
0.0000 0.0000 8.9321
Ca Pr Nd
1 3 7
Direct
0.0000 0.0000 0.0000
0.1693 0.3386 0.3441
0.1693 0.8307 0.3441
0.6614 0.8307 0.3441
0.0028 0.5014 0.0050
0.3333 0.6667 0.6808
0.3376 0.1688 0.6682
0.4986 0.5014 0.0050
0.4986 0.9972 0.0050
0.8312 0.1688 0.6682
0.8312 0.6624 0.6682
```

---

The following is a simulated powder XRD pattern of Rb3PmSb2O8. It was derived from the PBE geometry in Alexandria, using Cu Kα, 1.54184 Å.

Most intense lines, 10 to 80 degrees two-theta, low angle first:
| two_theta | I_rel |
| --- | --- |
| 10.9 | 11.5 |
| 19.5 | 16.6 |
| 27.3 | 84.4 |
| 28.2 | 100.0 |
| 37.0 | 9.0 |
| 39.7 | 42.4 |
| 49.4 | 32.7 |
| 50.0 | 20.1 |
| 53.6 | 17.5 |
| 58.4 | 17.1 |
| 65.7 | 14.4 |
| 80.0 | 8.5 |

Cell and atoms:
```
Rb3PmSb2O8
1.0
6.3182 0.0000 0.0000
-3.1591 5.4717 0.0000
0.0000 0.0000 8.1381
Rb Pm Sb O
3 1 2 8
Direct
0.0000 0.0000 0.0000
0.3333 0.6667 0.6813
0.6667 0.3333 0.3187
0.0000 0.0000 0.5000
0.3333 0.6667 0.2359
0.6667 0.3333 0.7641
0.1721 0.3442 0.3292
0.1721 0.8279 0.3292
0.3333 0.6667 0.0064
0.3442 0.1721 0.6708
0.6558 0.8279 0.3292
0.6667 0.3333 0.9936
0.8279 0.1721 0.6708
0.8279 0.6558 0.6708
```